The following is a computed powder XRD pattern of Li3ErAu3. It was derived from a GGA-PBE-relaxed structure, using Cu Kα X-rays.
Lines closer than 0.1° are merged.

Peak list (10 most intense, 10° ≤ 2θ ≤ 90°, sorted by position)
13.4°, intensity 79, hkl 0 0 3; 27.0°, intensity 25, hkl 0 0 6; 29.4°, intensity 100, hkl 1 1 3; 35.1°, intensity 22, hkl 1 0 7; 37.8°, intensity 56, hkl 1 1 6; 40.5°, intensity 32, hkl 3 -1 1; 41.3°, intensity 39, hkl 3 -2 2; 44.3°, intensity 37, hkl 3 -1 4; 46.5°, intensity 24, hkl 1 2 5; 49.1°, intensity 26, hkl 2 -1 9

Crystal structure
abc: 6.8498 6.8498 19.8597
angles: 90.00 90.00 120.00
Space group R-3 (No. 148, hexagonal axes)
Unique sites:
Li  0.0434  0.6093  0.3678 [18 per cell]
Er  0.0000  0.0000  0.1615 [6 per cell]
Au  0.0002  0.2468  0.4332 [18 per cell]